(1)
Calculated powder diffraction line list of Pu6Au5 for Cu Kα (λ = 1.5418 Å), from a cell relaxed with GGA-PBE.
Kinematic intensities with the Lorentz-polarization factor, no thermal factor.

Structure:
Unit cell a=3.0493 b=7.8835 c=10.0657 alpha=87.67 beta=88.66 gamma=88.89
Space group P-1 (No. 2)
Unique sites:
Pu1 0.0057 0.4225 0.2211 x2
Pu2 0.0449 0.7979 0.3349 x2
Pu3 0.1183 0.9801 0.8532 x2
Au1 0.4689 0.1451 0.3996 x2
Au2 0.4974 0.6978 0.0417 x2
Au3 0.5000 0.5000 0.5000 x1

Top 6 peaks for 10 to 90 degrees two-theta, in order of rising 2θ:
2theta, I (rel.), (hkl)
34.43, 100, 0 2 3
34.76, 66, 1 0 -2
35.69, 88, 0 3 -1
36.38, 60, 1 -1 2
37.68, 67, 1 2 1
38.01, 77, 0 1 -4

(2)
Calculated powder diffraction line list of Dy5HoAu6 for Cu Kα (λ = 1.5418 Å), from a cell relaxed with GGA-PBE.
Kinematic intensities with the Lorentz-polarization factor, no thermal factor.

Structure:
Unit cell a=8.8062 b=15.2948 c=5.0754 alpha=90.00 beta=125.12 gamma=90.00
Space group C2/m (No. 12)
Unique sites:
Dy1 0.0000 0.0000 0.0000 x2
Dy2 0.0000 0.1664 0.5000 x4
Dy3 0.0000 0.3330 0.0000 x4
Ho1 0.0000 0.5000 0.5000 x2
Au1 0.2479 0.5000 0.2478 x4
Au2 0.2489 0.3339 0.7489 x8

Top 6 peaks for 10 to 90 degrees two-theta, in order of rising 2θ:
2theta, I (rel.), (hkl)
35.25, 100, 1 3 1
35.37, 20, 2 0 -2
50.74, 22, 4 0 0
63.23, 26, 4 6 0
63.42, 18, 6 0 -2
85.21, 10, 5 3 1

(3)
Calculated powder diffraction line list of Rb3CdSb2 for Cu Kα (λ = 1.5418 Å), from a cell relaxed with GGA-PBE.
Kinematic intensities with the Lorentz-polarization factor, no thermal factor.

Structure:
Unit cell a=9.1601 b=15.6327 c=7.5682 alpha=90.00 beta=90.00 gamma=90.00
Space group Ibam (No. 72)
Unique sites:
Rb1 0.0000 0.0000 0.2500 x4
Rb2 0.1843 0.3234 0.0000 x8
Cd1 0.0000 0.5000 0.2500 x4
Sb1 0.1906 0.4064 0.5000 x8

Top 6 peaks for 10 to 90 degrees two-theta, in order of rising 2θ:
2theta, I (rel.), (hkl)
11.20, 71, 1 1 0
11.32, 71, 0 2 0
27.47, 100, 1 4 1
30.06, 52, 2 4 0
30.65, 95, 2 0 2
32.95, 55, 0 4 2

(4)
Calculated powder diffraction line list of NaZnSF for Cu Kα (λ = 1.5418 Å), from a cell relaxed with GGA-PBE.
Kinematic intensities with the Lorentz-polarization factor, no thermal factor.

Structure:
Unit cell a=3.8189 b=3.8189 c=11.4597 alpha=90.00 beta=90.00 gamma=120.00
Space group P6_3mc (No. 186)
Unique sites:
Na1 0.3333 0.6667 0.0000 x2
Zn1 0.0000 0.0000 0.2417 x2
S1 0.3333 0.6667 0.3039 x2
F1 0.0000 0.0000 0.0645 x2

Top 6 peaks for 10 to 90 degrees two-theta, in order of rising 2θ:
2theta, I (rel.), (hkl)
15.46, 53, 0 0 2
26.96, 46, 1 0 0
31.22, 100, 0 0 4
47.62, 53, 1 1 0
55.57, 42, 1 0 6
58.05, 40, 1 1 4

(5)
Calculated powder diffraction line list of Ho3ThAg2 for Cu Kα (λ = 1.5418 Å), from a cell relaxed with GGA-PBE.
Kinematic intensities with the Lorentz-polarization factor, no thermal factor.

Structure:
Unit cell a=3.6120 b=3.6120 c=12.0780 alpha=90.00 beta=90.00 gamma=90.00
Space group P4/mmm (No. 123)
Unique sites:
Ho1 0.0000 0.0000 0.0000 x1
Ho2 0.0000 0.0000 0.3016 x2
Th1 0.5000 0.5000 0.5000 x1
Ag1 0.5000 0.5000 0.1500 x2

Top 6 peaks for 10 to 90 degrees two-theta, in order of rising 2θ:
2theta, I (rel.), (hkl)
28.80, 12, 1 0 2
33.33, 100, 1 0 3
35.14, 50, 1 1 0
50.54, 18, 2 0 0
58.37, 13, 1 1 6
61.89, 33, 2 1 3

(6)
Calculated powder diffraction line list of CsSmI3 for Cu Kα (λ = 1.5418 Å), from a cell relaxed with GGA-PBE.
Kinematic intensities with the Lorentz-polarization factor, no thermal factor.

Structure:
Unit cell a=8.8197 b=8.8197 c=6.9867 alpha=90.00 beta=90.00 gamma=120.00
Space group P6_3/mmc (No. 194)
Unique sites:
Cs1 0.3333 0.6667 0.2500 x2
Sm1 0.0000 0.0000 0.0000 x2
I1 0.1731 0.3461 0.7500 x6

Top 6 peaks for 10 to 90 degrees two-theta, in order of rising 2θ:
2theta, I (rel.), (hkl)
11.59, 30, 1 0 0
26.60, 100, 2 0 1
34.80, 42, 2 0 2
40.93, 34, 2 2 0
45.63, 23, 2 0 3
49.48, 17, 4 0 1

(7)
Calculated powder diffraction line list of La6HoTm4 for Cu Kα (λ = 1.5418 Å), from a cell relaxed with GGA-PBE.
Kinematic intensities with the Lorentz-polarization factor, no thermal factor.

Structure:
Unit cell a=5.8590 b=9.8613 c=26.2298 alpha=90.00 beta=90.00 gamma=90.00
Space group Cmcm (No. 63)
Unique sites:
La1 0.0000 0.0000 0.0000 x4
La2 0.0000 0.0314 0.2500 x4
La3 0.0000 0.3154 0.5975 x8
La4 0.0000 0.3581 0.1816 x8
Ho1 0.0000 0.3064 0.7500 x4
Tm1 0.0000 0.0234 0.1249 x8
Tm2 0.0000 0.3417 0.0456 x8

Top 6 peaks for 10 to 90 degrees two-theta, in order of rising 2θ:
2theta, I (rel.), (hkl)
29.72, 60, 1 1 7
29.95, 43, 0 2 7
30.52, 62, 2 0 0
31.20, 100, 1 3 0
32.59, 50, 1 1 8
43.29, 32, 2 2 7

(8)
Calculated powder diffraction line list of Zn2Cd2Pd5Pb for Cu Kα (λ = 1.5418 Å), from a cell relaxed with GGA-PBE.
Kinematic intensities with the Lorentz-polarization factor, no thermal factor.

Structure:
Unit cell a=9.5830 b=9.5830 c=3.8219 alpha=90.00 beta=90.00 gamma=90.00
Space group P4/mbm (No. 127)
Unique sites:
Zn1 0.1253 0.3747 0.0000 x4
Cd1 0.1703 0.6703 0.0000 x4
Pd1 0.0000 0.5000 0.5000 x2
Pd2 0.0868 0.1996 0.5000 x8
Pb1 0.0000 0.0000 0.0000 x2

Top 6 peaks for 10 to 90 degrees two-theta, in order of rising 2θ:
2theta, I (rel.), (hkl)
35.40, 15, 2 2 1
37.89, 100, 3 1 1
38.74, 23, 4 1 0
41.38, 23, 3 2 1
42.17, 22, 4 2 0
47.58, 19, 0 0 2

(9)
Calculated powder diffraction line list of NpBr2O6 for Cu Kα (λ = 1.5418 Å), from a cell relaxed with GGA-PBE.
Kinematic intensities with the Lorentz-polarization factor, no thermal factor.

Structure:
Unit cell a=13.2293 b=9.1238 c=6.4577 alpha=90.00 beta=98.12 gamma=90.00
Space group C2/c (No. 15)
Unique sites:
Np1 0.0000 0.0848 0.2500 x4
Br1 0.1791 0.4909 0.9375 x8
O1 0.0753 0.0600 0.6191 x8
O2 0.0925 0.2253 0.1921 x8
O3 0.1433 0.3915 0.6982 x8

Top 6 peaks for 10 to 90 degrees two-theta, in order of rising 2θ:
2theta, I (rel.), (hkl)
11.82, 56, 1 1 0
13.52, 24, 2 0 0
19.46, 36, 0 2 0
22.58, 100, 3 1 0
23.96, 32, 0 2 1
31.30, 35, 1 1 2

(10)
Calculated powder diffraction line list of Ag5F7 for Cu Kα (λ = 1.5418 Å), from a cell relaxed with GGA-PBE.
Kinematic intensities with the Lorentz-polarization factor, no thermal factor.

Structure:
Unit cell a=3.4724 b=5.7940 c=9.9787 alpha=105.43 beta=97.30 gamma=97.69
Space group P-1 (No. 2)
Unique sites:
Ag1 0.0000 0.0000 0.0000 x1
Ag2 0.1200 0.2242 0.4208 x2
Ag3 0.3958 0.6122 0.1851 x2
F1 0.0111 0.9534 0.2107 x2
F2 0.2513 0.5075 0.6346 x2
F3 0.2786 0.6812 0.9488 x2
F4 0.5000 0.0000 0.5000 x1

Top 6 peaks for 10 to 90 degrees two-theta, in order of rising 2θ:
2theta, I (rel.), (hkl)
28.21, 100, 0 1 2
28.40, 20, 1 -1 0
31.15, 31, 0 2 -1
32.06, 35, 1 1 -1
47.97, 17, 0 0 5
53.70, 21, 0 3 -4